# 1
Diffraction record for MgHO. The powder diffraction line list is calculated, not measured: it uses DFT lattice parameters and positions (GGA-PBE) and λ = 1.5418 Å (Cu Kα).
No peak broadening, texture or thermal motion is included.

Structure:
```
MgHO
1.0
2.9399 -1.6969 0.0000
2.9399 1.6969 0.0000
-2.4173 0.0000 8.2503
Mg H O
2 2 2
direct
0.1141 0.1141 0.3725 Mg
0.8859 0.8859 0.6275 Mg
0.4530 0.4530 0.9597 H
0.5470 0.5470 0.0403 H
0.2224 0.2224 0.6356 O
0.7776 0.7776 0.3644 O
```

Peak list (10 most intense, 2θ = 10–90°, by intensity)
d_spacing, I (rel.)
8.250, 100.0
2.750, 9.9
1.696, 8.8
2.908, 8.6
2.877, 5.9
2.063, 5.8
2.934, 5.7
1.677, 4.0
2.626, 4.0
1.811, 3.0



# 2
Diffraction record for Mg4H2O5. The powder diffraction line list is calculated, not measured: it uses DFT lattice parameters and positions (GGA-PBE) and λ = 1.5418 Å (Cu Kα).
No peak broadening, texture or thermal motion is included.

Structure:
```
Mg4H2O5
1.0
3.0577 0.0000 0.0000
-1.5289 2.6481 0.0000
0.0000 0.0000 12.1967
Mg H O
4 2 5
direct
0.0000 0.0000 0.1984 Mg
0.0000 0.0000 0.8016 Mg
0.3333 0.6667 0.3997 Mg
0.6667 0.3333 0.6003 Mg
0.3333 0.6667 0.0315 H
0.6667 0.3333 0.9685 H
0.0000 0.0000 0.5000 O
0.3333 0.6667 0.1110 O
0.3333 0.6667 0.7007 O
0.6667 0.3333 0.2993 O
0.6667 0.3333 0.8890 O
```

Peak list (10 most intense, 2θ = 10–90°, by intensity)
d_spacing, I (rel.)
2.219, 100.0
1.529, 35.2
1.999, 30.0
1.456, 22.6
6.098, 14.0
1.259, 11.8
1.612, 11.6
4.066, 6.6
1.794, 6.5
2.429, 5.8



# 3
Diffraction record for Mg5H8O9. The powder diffraction line list is calculated, not measured: it uses DFT lattice parameters and positions (GGA-PBE) and λ = 1.5418 Å (Cu Kα).
No peak broadening, texture or thermal motion is included.

Structure:
```
Mg5H8O9
1.0
3.1518 0.0000 0.0000
-1.5759 2.7295 0.0000
0.0000 0.0000 21.9833
Mg H O
5 8 9
direct
0.0000 0.0000 0.0000 Mg
0.0000 0.0000 0.2203 Mg
0.0000 0.0000 0.7797 Mg
0.3333 0.6667 0.5556 Mg
0.6667 0.3333 0.4444 Mg
0.3333 0.6667 0.1283 H
0.3333 0.6667 0.3528 H
0.3333 0.6667 0.6879 H
0.3333 0.6667 0.9080 H
0.6667 0.3333 0.0920 H
0.6667 0.3333 0.3121 H
0.6667 0.3333 0.6472 H
0.6667 0.3333 0.8717 H
0.0000 0.0000 0.5000 O
0.3333 0.6667 0.1725 O
0.3333 0.6667 0.3970 O
0.3333 0.6667 0.7320 O
0.3333 0.6667 0.9522 O
0.6667 0.3333 0.0478 O
0.6667 0.3333 0.2680 O
0.6667 0.3333 0.6030 O
0.6667 0.3333 0.8275 O
```

Peak list (10 most intense, 2θ = 10–90°, by intensity)
d_spacing, I (rel.)
2.319, 100.0
5.496, 68.6
1.576, 59.1
2.445, 55.9
4.397, 48.8
1.820, 26.2
2.189, 25.6
2.060, 25.5
1.937, 21.0
1.712, 19.3



# 4
Diffraction record for Mg5H2O6. The powder diffraction line list is calculated, not measured: it uses DFT lattice parameters and positions (GGA-PBE) and λ = 1.5418 Å (Cu Kα).
No peak broadening, texture or thermal motion is included.

Structure:
```
Mg5H2O6
1.0
3.0466 0.0000 0.0000
-1.5233 2.6384 0.0000
0.0000 0.0000 14.9126
Mg H O
5 2 6
direct
0.0000 0.0000 0.0000 Mg
0.3333 0.6667 0.1643 Mg
0.3333 0.6667 0.6711 Mg
0.6667 0.3333 0.3289 Mg
0.6667 0.3333 0.8357 Mg
0.3333 0.6667 0.4655 H
0.6667 0.3333 0.5345 H
0.0000 0.0000 0.2464 O
0.0000 0.0000 0.7536 O
0.3333 0.6667 0.4006 O
0.3333 0.6667 0.9179 O
0.6667 0.3333 0.0821 O
0.6667 0.3333 0.5994 O
```

Peak list (10 most intense, 2θ = 10–90°, by intensity)
d_spacing, I (rel.)
2.154, 100.0
1.523, 54.5
1.243, 15.8
7.456, 14.6
4.971, 6.6
1.299, 6.0
2.487, 4.9
2.598, 4.8
1.976, 4.1
3.728, 3.0



Copy entry 1 word for word.
Diffraction record for MgHO. The powder diffraction line list is calculated, not measured: it uses DFT lattice parameters and positions (GGA-PBE) and λ = 1.5418 Å (Cu Kα).
No peak broadening, texture or thermal motion is included.

Structure:
```
MgHO
1.0
2.9399 -1.6969 0.0000
2.9399 1.6969 0.0000
-2.4173 0.0000 8.2503
Mg H O
2 2 2
direct
0.1141 0.1141 0.3725 Mg
0.8859 0.8859 0.6275 Mg
0.4530 0.4530 0.9597 H
0.5470 0.5470 0.0403 H
0.2224 0.2224 0.6356 O
0.7776 0.7776 0.3644 O
```

Peak list (10 most intense, 2θ = 10–90°, by intensity)
d_spacing, I (rel.)
8.250, 100.0
2.750, 9.9
1.696, 8.8
2.908, 8.6
2.877, 5.9
2.063, 5.8
2.934, 5.7
1.677, 4.0
2.626, 4.0
1.811, 3.0